[1]
Structure and simulated XRD peak list of NaLaTeCl2 (a cell relaxed with GGA-PBE; Cu Kα (weighted mean of Kα1 and Kα2)).
Intensities are scaled so that the largest is 1000.

Principal peaks in the range 2θ = 5–70°, in order of rising 2θ:
| d_spacing | 2theta | intensity |
| --- | --- | --- |
| 7.420 | 11.93 | 749 |
| 3.326 | 26.81 | 1000 |
| 3.177 | 28.09 | 365 |
| 2.921 | 30.61 | 725 |
| 2.476 | 36.28 | 503 |
| 2.413 | 37.26 | 189 |
| 2.247 | 40.14 | 392 |
| 1.917 | 47.42 | 185 |
| 1.862 | 48.93 | 379 |
| 1.664 | 55.20 | 301 |
| 1.459 | 63.82 | 159 |
| 1.396 | 67.07 | 143 |

Cell and atoms:
Lattice parameters (Å, degrees): 8.0715 8.0715 8.0715 147.68 147.68 46.36
Sites, in units of the cell vectors:
Na: 0.0000 0.0000 0.0000
La: 0.7285 0.7285 0.0000
Te: 0.3289 0.3289 0.0000
Cl: 0.1080 0.6080 0.5000
Cl: 0.6080 0.1080 0.5000

[2]
Structure and simulated XRD peak list of Rb4SmI7 (a cell relaxed with GGA-PBE; Cu Kα (weighted mean of Kα1 and Kα2)).
Intensities are scaled so that the largest is 1000.

Principal peaks in the range 2θ = 5–70°, in order of rising 2θ:
| d_spacing | 2theta | intensity |
| --- | --- | --- |
| 8.320 | 10.63 | 549 |
| 6.387 | 13.86 | 473 |
| 5.433 | 16.31 | 370 |
| 5.070 | 17.49 | 495 |
| 3.805 | 23.38 | 398 |
| 3.486 | 25.55 | 742 |
| 3.204 | 27.84 | 824 |
| 3.082 | 28.97 | 1000 |
| 3.052 | 29.26 | 409 |
| 2.774 | 32.27 | 489 |
| 2.309 | 39.02 | 484 |
| 2.296 | 39.24 | 359 |

Cell and atoms:
Lattice parameters (Å, degrees): 9.7644 9.7644 12.4898 104.85 104.85 36.79
Sites, in units of the cell vectors:
Rb: 0.0139 0.0139 0.2060
Rb: 0.2572 0.2572 0.8360
Rb: 0.7428 0.7428 0.1640
Rb: 0.9861 0.9861 0.7940
Sm: 0.5000 0.5000 0.5000
I: 0.0000 0.0000 0.5000
I: 0.1445 0.1445 0.0393
I: 0.3791 0.3791 0.2757
I: 0.3830 0.3830 0.6350
I: 0.6170 0.6170 0.3650
I: 0.6209 0.6209 0.7243
I: 0.8555 0.8555 0.9607

[3]
Structure and simulated XRD peak list of Ca3LaBi2S (a cell relaxed with GGA-PBE; Cu Kα (weighted mean of Kα1 and Kα2)).
Intensities are scaled so that the largest is 1000.

Principal peaks in the range 2θ = 5–70°, in order of rising 2θ:
| d_spacing | 2theta | intensity |
| --- | --- | --- |
| 5.181 | 17.11 | 550 |
| 3.808 | 23.36 | 495 |
| 3.778 | 23.55 | 406 |
| 3.440 | 25.90 | 329 |
| 2.808 | 31.87 | 201 |
| 2.796 | 32.01 | 1000 |
| 2.726 | 32.85 | 359 |
| 2.620 | 34.23 | 321 |
| 2.217 | 40.70 | 282 |
| 1.889 | 48.17 | 244 |
| 1.587 | 58.12 | 186 |
| 1.545 | 59.88 | 203 |

Cell and atoms:
Lattice parameters (Å, degrees): 9.1353 9.1353 9.1353 146.67 145.27 48.90
Sites, in units of the cell vectors:
Ca: 0.0000 0.0000 0.0000
Ca: 0.1730 0.6730 0.5000
Ca: 0.8270 0.3270 0.5000
La: 0.5000 0.5000 0.0000
Bi: 0.3641 0.8641 0.5000
Bi: 0.6359 0.1359 0.5000
S: 0.0000 0.5000 0.5000